# 1
Starting from a crystal structure in Alexandria, relaxed with PBE, the PXRD pattern of NbCoN2Cl was computed for Cu Kα (λ = 1.5418 Å).
Neutral-atom scattering factors, no anomalous dispersion.

Structural model:
Cell lengths 3.609, 3.850, 6.867 Å; angles 93.34, 104.92, 90.00 degrees
Fractional positions:
Nb 0.000 0.000 0.000
Co 0.563 0.526 0.131
N 0.055 0.510 0.115
N 0.573 0.024 0.151
Cl 0.350 0.982 0.706

The 10 most intense peaks (15 to 90 degrees two-theta), low angle first:
| 2θ (°) | intensity |
| --- | --- |
| 23.1 | 50 |
| 26.9 | 100 |
| 27.5 | 54 |
| 31.9 | 62 |
| 32.1 | 61 |
| 34.5 | 82 |
| 35.0 | 89 |
| 39.1 | 55 |
| 39.2 | 54 |
| 47.3 | 59 |


# 2
Starting from a crystal structure in Alexandria, relaxed with PBE, the PXRD pattern of NbCoN2Cl was computed for Cu Kα (λ = 1.5418 Å).
Neutral-atom scattering factors, no anomalous dispersion.

Structural model:
Cell lengths 3.362, 6.307, 6.307 Å; angles 37.82, 90.00, 90.00 degrees
Fractional positions:
Nb 0.000 0.000 0.000
Co 0.500 0.567 0.567
N 0.000 0.490 0.490
N 0.500 0.093 0.093
Cl 0.500 0.831 0.831

The 10 most intense peaks (15 to 90 degrees two-theta), low angle first:
| 2θ (°) | intensity |
| --- | --- |
| 23.0 | 57 |
| 30.0 | 43 |
| 30.5 | 38 |
| 35.4 | 100 |
| 40.4 | 71 |
| 41.5 | 94 |
| 43.9 | 28 |
| 44.3 | 42 |
| 47.0 | 29 |
| 61.5 | 36 |


# 3
Starting from a crystal structure in Alexandria, relaxed with PBE, the PXRD pattern of NaCo2Cl5 was computed for Cu Kα (λ = 1.5418 Å).
Neutral-atom scattering factors, no anomalous dispersion.

Structural model:
Cell lengths 7.052, 7.052, 18.741 Å; angles 90.00, 90.00, 148.97 degrees
Fractional positions:
Na 0.020 0.980 0.750
Na 0.980 0.020 0.250
Co 0.255 0.745 0.136
Co 0.255 0.745 0.364
Co 0.745 0.255 0.636
Co 0.745 0.255 0.864
Cl 0.094 0.906 0.136
Cl 0.094 0.906 0.364
Cl 0.183 0.817 0.585
Cl 0.183 0.817 0.915
Cl 0.329 0.671 0.250
Cl 0.671 0.329 0.750
Cl 0.817 0.183 0.085
Cl 0.817 0.183 0.415
Cl 0.906 0.094 0.636
Cl 0.906 0.094 0.864

The 10 most intense peaks (15 to 90 degrees two-theta), low angle first:
| 2θ (°) | intensity |
| --- | --- |
| 18.9 | 98 |
| 23.1 | 62 |
| 24.5 | 33 |
| 24.9 | 100 |
| 26.7 | 35 |
| 27.2 | 38 |
| 32.3 | 29 |
| 34.4 | 67 |
| 43.5 | 33 |
| 50.5 | 58 |


# 4
Starting from a crystal structure in Alexandria, relaxed with PBE, the PXRD pattern of Na6CoCl12 was computed for Cu Kα (λ = 1.5418 Å).
Neutral-atom scattering factors, no anomalous dispersion.

Structural model:
Cell lengths 7.860, 7.860, 7.860 Å; angles 95.87, 95.87, 95.87 degrees
Fractional positions:
Na 0.150 0.284 0.639
Na 0.284 0.639 0.150
Na 0.361 0.850 0.716
Na 0.639 0.150 0.284
Na 0.716 0.361 0.850
Na 0.850 0.716 0.361
Co 0.000 0.000 0.000
Cl 0.013 0.954 0.713
Cl 0.046 0.287 0.987
Cl 0.165 0.581 0.467
Cl 0.287 0.987 0.046
Cl 0.419 0.533 0.835
Cl 0.467 0.165 0.581
Cl 0.533 0.835 0.419
Cl 0.581 0.467 0.165
Cl 0.713 0.013 0.954
Cl 0.835 0.419 0.533
Cl 0.954 0.713 0.013
Cl 0.987 0.046 0.287

The 10 most intense peaks (15 to 90 degrees two-theta), low angle first:
| 2θ (°) | intensity |
| --- | --- |
| 17.0 | 45 |
| 19.0 | 32 |
| 22.9 | 30 |
| 24.4 | 63 |
| 27.6 | 30 |
| 30.8 | 20 |
| 35.3 | 56 |
| 37.9 | 100 |
| 40.9 | 56 |
| 46.9 | 27 |


# 5
Starting from a crystal structure in Alexandria, relaxed with PBE, the PXRD pattern of NaCo2Cl6 was computed for Cu Kα (λ = 1.5418 Å).
Neutral-atom scattering factors, no anomalous dispersion.

Structural model:
Cell lengths 8.937, 8.937, 6.604 Å; angles 98.74, 98.74, 86.59 degrees
Fractional positions:
Na 0.114 0.886 0.750
Na 0.886 0.114 0.250
Co 0.213 0.375 0.716
Co 0.375 0.213 0.216
Co 0.625 0.787 0.784
Co 0.787 0.625 0.284
Cl 0.042 0.200 0.650
Cl 0.139 0.593 0.867
Cl 0.200 0.042 0.150
Cl 0.290 0.417 0.418
Cl 0.407 0.861 0.633
Cl 0.417 0.290 0.918
Cl 0.583 0.710 0.082
Cl 0.593 0.139 0.367
Cl 0.710 0.583 0.582
Cl 0.800 0.958 0.850
Cl 0.861 0.407 0.133
Cl 0.958 0.800 0.350

The 10 most intense peaks (15 to 90 degrees two-theta), low angle first:
| 2θ (°) | intensity |
| --- | --- |
| 20.0 | 100 |
| 22.2 | 89 |
| 22.7 | 50 |
| 26.0 | 75 |
| 27.5 | 99 |
| 28.3 | 82 |
| 36.5 | 29 |
| 44.3 | 35 |
| 46.7 | 81 |
| 46.9 | 52 |


# 6
Starting from a crystal structure in Alexandria, relaxed with PBE, the PXRD pattern of NaCo2PbCl8 was computed for Cu Kα (λ = 1.5418 Å).
Neutral-atom scattering factors, no anomalous dispersion.

Structural model:
Cell lengths 9.953, 9.953, 9.953 Å; angles 38.35, 38.35, 38.35 degrees
Fractional positions:
Na 0.000 0.000 0.000
Co 0.255 0.255 0.255
Co 0.745 0.745 0.745
Pb 0.500 0.500 0.500
Cl 0.077 0.433 0.803
Cl 0.197 0.923 0.567
Cl 0.333 0.333 0.333
Cl 0.433 0.803 0.077
Cl 0.567 0.197 0.923
Cl 0.667 0.667 0.667
Cl 0.803 0.077 0.433
Cl 0.923 0.567 0.197

The 10 most intense peaks (15 to 90 degrees two-theta), low angle first:
| 2θ (°) | intensity |
| --- | --- |
| 16.0 | 68 |
| 20.3 | 100 |
| 22.5 | 49 |
| 27.3 | 52 |
| 30.3 | 43 |
| 33.6 | 46 |
| 34.2 | 29 |
| 44.3 | 29 |
| 48.2 | 38 |
| 48.4 | 52 |